Entry 1:
LaErBe2Ge2: calculated X-ray diffraction stick pattern (a wavelength of 1.5418 Å), based on a crystal structure in OQMD, relaxed with GGA-PBE.

a b c (Å): 3.9662 3.9662 8.4117
angles (deg): 90.00 90.00 120.00
Element x y z (fractional)
La1 0.0000 0.0000 0.0000
Er1 0.0000 0.0000 0.5000
Be1 0.3333 0.6667 0.7355
Be2 0.6667 0.3333 0.2645
Ge1 0.3333 0.6667 0.2668
Ge2 0.6667 0.3333 0.7332

Peak list (6 most intense, 2θ = 10–80°, by angle)
- 2θ = 25.94°, d = 3.435 Å, rel. 32
- 2θ = 33.69°, d = 2.660 Å, rel. 100
- 2θ = 45.75°, d = 1.983 Å, rel. 31
- 2θ = 58.01°, d = 1.590 Å, rel. 21
- 2θ = 64.60°, d = 1.443 Å, rel. 21
- 2θ = 76.85°, d = 1.240 Å, rel. 18

Entry 2:
CoNi5: calculated X-ray diffraction stick pattern (a wavelength of 1.5418 Å), based on a crystal structure in OQMD, relaxed with GGA-PBE.

a b c (Å): 4.6069 4.6069 7.3960
angles (deg): 90.00 90.00 120.08
Element x y z (fractional)
Co1 0.1720 0.8280 0.7500
Co2 0.8280 0.1720 0.2500
Ni1 0.0000 0.0000 0.0000
Ni2 0.0000 0.0000 0.5000
Ni3 0.1705 0.3421 0.7500
Ni4 0.3328 0.6672 0.0691
Ni5 0.3328 0.6672 0.4309
Ni6 0.3421 0.1705 0.2500
Ni7 0.6579 0.8295 0.7500
Ni8 0.6672 0.3328 0.5691
Ni9 0.6672 0.3328 0.9309
Ni10 0.8295 0.6579 0.2500

Peak list (6 most intense, 2θ = 10–80°, by angle)
- 2θ = 39.12°, d = 2.303 Å, rel. 32
- 2θ = 43.14°, d = 2.097 Å, rel. 78
- 2θ = 46.46°, d = 1.955 Å, rel. 100
- 2θ = 47.21°, d = 1.925 Å, rel. 96
- 2θ = 52.11°, d = 1.755 Å, rel. 22
- 2θ = 73.66°, d = 1.286 Å, rel. 24